Entry 1:
Starting from DFT lattice parameters and positions (GGA-PBE), the powder diffractogram of BaSr2MgRh was calculated for copper Kα.
Neutral-atom scattering factors, no anomalous dispersion.

Cell and atoms:
```
BaSr2MgRh
1.0
5.8680 0.0000 0.0000
0.0000 5.8680 0.0000
0.0000 0.0000 5.4166
Ba Sr Mg Rh
1 2 1 1
direct
0.0000 0.0000 0.0000 Ba
0.0000 0.5000 0.5000 Sr
0.5000 0.0000 0.5000 Sr
0.5000 0.5000 0.0000 Mg
0.5000 0.5000 0.5000 Rh
```

Largest 12 diffraction maxima, most intense first, 2θ = 15–90°:
d [Å]	I (rel.)
3.980	100
2.934	99
3.294	72
1.990	64
2.362	50
2.708	40
2.075	36
1.647	35
1.181	23
1.755	23
5.417	18
1.312	16

***

Entry 2:
Starting from DFT lattice parameters and positions (GGA-PBE), the powder diffractogram of BaMgTl2Rh was calculated for copper Kα.
Neutral-atom scattering factors, no anomalous dispersion.

Cell and atoms:
```
BaMgTl2Rh
1.0
5.3319 0.0000 0.0000
0.0000 5.3319 0.0000
0.0000 0.0000 5.0887
Ba Mg Tl Rh
1 1 2 1
direct
0.0000 0.0000 0.0000 Ba
0.5000 0.5000 0.0000 Mg
0.0000 0.5000 0.5000 Tl
0.5000 0.0000 0.5000 Tl
0.5000 0.5000 0.5000 Rh
```

Largest 12 diffraction maxima, most intense first, 2θ = 15–90°:
d [Å]	I (rel.)
3.029	100
2.666	77
5.089	52
1.841	52
3.681	37
2.544	34
1.601	31
2.362	30
1.885	28
1.515	28
2.159	17
1.547	14

***

Entry 3:
Starting from DFT lattice parameters and positions (GGA-PBE), the powder diffractogram of BaMgScSn2 was calculated for copper Kα.
Neutral-atom scattering factors, no anomalous dispersion.

Cell and atoms:
```
BaMgScSn2
1.0
4.8699 0.0000 0.0000
0.0000 4.8699 0.0000
0.0000 0.0000 12.7838
Ba Mg Sc Sn
2 2 2 4
direct
0.0000 0.0000 0.0000 Ba
0.5000 0.5000 0.5000 Ba
0.0000 0.5000 0.7500 Mg
0.5000 0.0000 0.2500 Mg
0.0000 0.5000 0.2500 Sc
0.5000 0.0000 0.7500 Sc
0.0000 0.0000 0.3806 Sn
0.0000 0.0000 0.6194 Sn
0.5000 0.5000 0.1194 Sn
0.5000 0.5000 0.8806 Sn
```

Largest 12 diffraction maxima, most intense first, 2θ = 15–90°:
d [Å]	I (rel.)
3.207	100
3.444	67
2.435	58
2.264	52
3.032	51
1.939	49
1.658	40
1.722	20
2.343	17
1.336	17
1.194	14
1.540	14

***

Entry 4:
Starting from DFT lattice parameters and positions (GGA-PBE), the powder diffractogram of Ba2MgSi was calculated for copper Kα.
Neutral-atom scattering factors, no anomalous dispersion.

Cell and atoms:
```
Ba2MgSi
1.0
5.0457 0.0000 0.0000
0.0000 4.7101 0.0000
-2.5165 0.0000 6.3405
Ba Mg Si
2 1 1
direct
0.0000 0.0000 0.0000 Ba
0.2864 0.5000 0.5730 Ba
0.6867 0.0000 0.3738 Mg
0.5757 0.5000 0.1510 Si
```

Largest 12 diffraction maxima, most intense first, 2θ = 15–90°:
d [Å]	I (rel.)
3.323	100
3.781	66
3.240	64
1.905	28
2.670	28
4.688	28
2.099	27
2.523	24
3.170	23
2.042	22
2.355	19
2.630	15

***

Entry 5:
Starting from DFT lattice parameters and positions (GGA-PBE), the powder diffractogram of Ba5Mg18Si13 was calculated for copper Kα.
Neutral-atom scattering factors, no anomalous dispersion.

Cell and atoms:
```
Ba5Mg18Si13
1.0
14.5502 0.0000 0.0000
-7.2751 12.6009 0.0000
0.0000 0.0000 4.5056
Ba Mg Si
5 18 13
direct
0.0000 0.8198 0.0000 Ba
0.1802 0.1802 0.0000 Ba
0.3333 0.6667 0.5000 Ba
0.6667 0.3333 0.5000 Ba
0.8198 0.0000 0.0000 Ba
0.0000 0.2777 0.0000 Mg
0.0000 0.4418 0.5000 Mg
0.1219 0.6384 0.0000 Mg
0.1777 0.3726 0.5000 Mg
0.1949 0.8223 0.5000 Mg
0.2777 0.0000 0.0000 Mg
0.3616 0.4835 0.0000 Mg
0.3726 0.1777 0.5000 Mg
0.4418 0.0000 0.5000 Mg
0.4835 0.3616 0.0000 Mg
0.5165 0.8781 0.0000 Mg
0.5582 0.5582 0.5000 Mg
0.6274 0.8051 0.5000 Mg
0.6384 0.1219 0.0000 Mg
0.7223 0.7223 0.0000 Mg
0.8051 0.6274 0.5000 Mg
0.8223 0.1949 0.5000 Mg
0.8781 0.5165 0.0000 Mg
0.0000 0.0000 0.5000 Si
0.0000 0.1659 0.5000 Si
0.0000 0.6293 0.5000 Si
0.1659 0.0000 0.5000 Si
0.1666 0.4750 0.0000 Si
0.3084 0.8334 0.0000 Si
0.3707 0.3707 0.5000 Si
0.4750 0.1666 0.0000 Si
0.5250 0.6916 0.0000 Si
0.6293 0.0000 0.5000 Si
0.6916 0.5250 0.0000 Si
0.8334 0.3084 0.0000 Si
0.8341 0.8341 0.5000 Si
```

Largest 12 diffraction maxima, most intense first, 2θ = 15–90°:
d [Å]	I (rel.)
2.830	100
2.761	35
3.072	33
2.750	30
2.100	29
4.763	27
3.495	26
2.253	25
3.273	25
1.536	21
4.243	19
1.882	17

***

Entry 6:
Starting from DFT lattice parameters and positions (GGA-PBE), the powder diffractogram of Ba2Mg12Si7 was calculated for copper Kα.
Neutral-atom scattering factors, no anomalous dispersion.

Cell and atoms:
```
Ba2Mg12Si7
1.0
11.0611 0.0000 0.0000
-5.5306 9.5792 0.0000
0.0000 0.0000 4.4269
Ba Mg Si
2 12 7
direct
0.3333 0.6667 0.2573 Ba
0.6667 0.3333 0.7427 Ba
0.0510 0.4294 0.7511 Mg
0.1115 0.2548 0.2563 Mg
0.1434 0.8885 0.2563 Mg
0.2548 0.1434 0.7437 Mg
0.3784 0.9490 0.7511 Mg
0.4294 0.3784 0.2489 Mg
0.5706 0.6216 0.7511 Mg
0.6216 0.0510 0.2489 Mg
0.7452 0.8566 0.2563 Mg
0.8566 0.1115 0.7437 Mg
0.8885 0.7452 0.7437 Mg
0.9490 0.5706 0.2489 Mg
0.0000 0.0000 0.5000 Si
0.1131 0.7045 0.7551 Si
0.2955 0.4086 0.7551 Si
0.4086 0.1131 0.2449 Si
0.5914 0.8869 0.7551 Si
0.7045 0.5914 0.2449 Si
0.8869 0.2955 0.2449 Si
```

Largest 12 diffraction maxima, most intense first, 2θ = 15–90°:
d [Å]	I (rel.)
2.803	100
3.251	25
2.090	25
5.531	21
3.193	21
4.019	21
1.968	18
2.765	15
2.213	15
1.520	13
1.676	12
2.278	12

***

Entry 7:
Starting from DFT lattice parameters and positions (GGA-PBE), the powder diffractogram of BaMg6Si was calculated for copper Kα.
Neutral-atom scattering factors, no anomalous dispersion.

Cell and atoms:
```
BaMg6Si
1.0
4.9079 0.0000 0.0000
0.0000 6.1017 0.0000
0.0000 0.0000 14.3296
Ba Mg Si
2 12 2
direct
0.0000 0.0000 0.0000 Ba
0.0000 0.5000 0.5000 Ba
0.0000 0.2403 0.7350 Mg
0.0000 0.2597 0.2350 Mg
0.0000 0.7403 0.2350 Mg
0.0000 0.7597 0.7350 Mg
0.5000 0.0000 0.1711 Mg
0.5000 0.0000 0.5946 Mg
0.5000 0.2454 0.3696 Mg
0.5000 0.2546 0.8696 Mg
0.5000 0.5000 0.0946 Mg
0.5000 0.5000 0.6711 Mg
0.5000 0.7454 0.8696 Mg
0.5000 0.7546 0.3696 Mg
0.0000 0.0000 0.3967 Si
0.0000 0.5000 0.8967 Si
```

Largest 12 diffraction maxima, most intense first, 2θ = 15–90°:
d [Å]	I (rel.)
2.437	100
2.985	96
2.894	85
3.695	78
5.614	74
2.593	59
2.807	54
2.454	47
3.761	45
4.049	33
4.908	33
1.847	31

***

Entry 8:
Starting from DFT lattice parameters and positions (GGA-PBE), the powder diffractogram of BaMg4Sn12 was calculated for copper Kα.
Neutral-atom scattering factors, no anomalous dispersion.

Cell and atoms:
```
BaMg4Sn12
1.0
-5.0407 5.0407 5.0407
5.0407 -5.0407 5.0407
5.0407 5.0407 -5.0407
Ba Mg Sn
1 4 12
direct
0.0000 0.0000 0.0000 Ba
0.0000 0.0000 0.5000 Mg
0.0000 0.5000 0.0000 Mg
0.5000 0.0000 0.0000 Mg
0.5000 0.5000 0.5000 Mg
0.1544 0.3587 0.5132 Sn
0.1544 0.6413 0.7957 Sn
0.2043 0.8456 0.3587 Sn
0.3587 0.2043 0.8456 Sn
0.3587 0.5132 0.1544 Sn
0.4868 0.8456 0.6413 Sn
0.5132 0.1544 0.3587 Sn
0.6413 0.4868 0.8456 Sn
0.6413 0.7957 0.1544 Sn
0.7957 0.1544 0.6413 Sn
0.8456 0.3587 0.2043 Sn
0.8456 0.6413 0.4868 Sn
```

Largest 12 diffraction maxima, most intense first, 2θ = 15–90°:
d [Å]	I (rel.)
3.188	100
1.977	45
2.694	34
1.172	17
1.680	16
1.486	15
1.324	12
2.058	10
2.254	9
1.280	8
1.426	7
1.455	7